Structure and calculated powder diffraction line list of MgZn6Au (a DFT-relaxed cell (PBE, Alexandria); Cu Kα X-rays).
No peak broadening, texture or thermal motion is included.

Cell and atoms:
Unit cell a=5.0835 b=5.0835 c=5.0835 alpha=90.00 beta=90.00 gamma=90.00
Space group Pm-3 (No. 200)
Asymmetric unit:
Mg  0.0000  0.0000  0.0000 x1
Zn  0.0000  0.2495  0.5000 x6
Au  0.5000  0.5000  0.5000 x1

Principal peaks in the range 2θ from 10° to 90°, low angle first:
Position (°2θ), Rel. int.
17.45, 49
30.46, 18
35.31, 42
39.64, 100
43.61, 92
54.12, 14
66.29, 21
69.14, 46
74.69, 14
88.05, 19